The following is a calculated XRD peak list of PH2F3. It was derived from the GGA-PBE geometry in the Materials Project, using copper Kα.
Intensities are scaled so that the largest is 100.

The 10 most intense peaks (2θ from 10° to 80°), sorted by position:
| 2theta | intensity |
| --- | --- |
| 18.28 | 9.8 |
| 21.64 | 38.9 |
| 23.17 | 100.0 |
| 29.71 | 60.0 |
| 36.05 | 16.2 |
| 37.05 | 17.3 |
| 38.89 | 11.1 |
| 47.30 | 15.5 |
| 48.97 | 9.6 |
| 58.22 | 8.7 |

Cell and atoms:
```
PH2F3
1.0
3.007 -4.107 0.000
3.007 4.107 0.000
0.000 0.000 6.279
P H F
2 4 6
direct
0.188 0.812 0.500 P
0.812 0.188 0.000 P
0.094 0.322 0.018 H
0.322 0.094 0.518 H
0.678 0.906 0.018 H
0.906 0.678 0.518 H
0.149 0.851 0.239 F
0.225 0.775 0.760 F
0.377 0.623 0.452 F
0.623 0.377 0.952 F
0.775 0.225 0.260 F
0.851 0.149 0.739 F
```


The following is a calculated XRD peak list of LiSi3BiO8. It was derived from the GGA-PBE geometry in the Materials Project, using copper Kα.
Intensities are scaled so that the largest is 100.

The 10 most intense peaks (2θ from 10° to 80°), sorted by position:
| 2theta | intensity |
| --- | --- |
| 13.25 | 94.8 |
| 13.64 | 94.5 |
| 15.12 | 65.7 |
| 19.06 | 73.6 |
| 22.53 | 63.2 |
| 24.99 | 100.0 |
| 25.87 | 99.8 |
| 27.15 | 71.1 |
| 27.79 | 78.5 |
| 29.85 | 79.5 |

Cell and atoms:
```
LiSi3BiO8
1.0
4.098 -6.492 0.000
4.098 6.492 0.000
-1.777 0.000 13.363
Li Si Bi O
4 12 4 32
direct
0.054 0.370 0.183 Li
0.370 0.054 0.683 Li
0.630 0.946 0.317 Li
0.946 0.630 0.817 Li
0.048 0.255 0.405 Si
0.150 0.357 0.823 Si
0.255 0.048 0.905 Si
0.326 0.418 0.614 Si
0.357 0.150 0.323 Si
0.418 0.326 0.114 Si
0.582 0.674 0.886 Si
0.643 0.850 0.677 Si
0.674 0.582 0.386 Si
0.745 0.952 0.095 Si
0.850 0.643 0.177 Si
0.952 0.745 0.595 Si
0.275 0.712 0.433 Bi
0.288 0.725 0.067 Bi
0.712 0.275 0.933 Bi
0.725 0.288 0.567 Bi
0.042 0.613 0.159 O
0.094 0.432 0.334 O
0.120 0.153 0.865 O
0.132 0.825 0.920 O
0.153 0.120 0.365 O
0.172 0.379 0.515 O
0.175 0.868 0.580 O
0.190 0.355 0.705 O
0.301 0.458 0.112 O
0.344 0.543 0.883 O
0.355 0.190 0.205 O
0.379 0.172 0.015 O
0.387 0.958 0.341 O
0.432 0.094 0.834 O
0.457 0.656 0.617 O
0.458 0.301 0.612 O
0.542 0.699 0.388 O
0.543 0.344 0.383 O
0.568 0.906 0.166 O
0.613 0.042 0.659 O
0.621 0.828 0.985 O
0.645 0.810 0.795 O
0.656 0.457 0.117 O
0.699 0.542 0.888 O
0.810 0.645 0.295 O
0.825 0.132 0.420 O
0.828 0.621 0.485 O
0.847 0.880 0.635 O
0.868 0.175 0.080 O
0.880 0.847 0.135 O
0.906 0.568 0.666 O
0.958 0.387 0.841 O
```


The following is a calculated XRD peak list of Na3MgBiO4. It was derived from the GGA-PBE geometry in the Materials Project, using copper Kα.
Intensities are scaled so that the largest is 100.

The 10 most intense peaks (2θ from 10° to 80°), sorted by position:
| 2theta | intensity |
| --- | --- |
| 13.18 | 65.5 |
| 14.08 | 100.0 |
| 18.05 | 45.3 |
| 20.54 | 45.4 |
| 28.44 | 48.7 |
| 29.44 | 39.7 |
| 29.84 | 69.8 |
| 31.76 | 27.1 |
| 33.52 | 37.8 |
| 39.05 | 37.2 |

Cell and atoms:
```
Na3MgBiO4
1.0
6.341 0.000 0.000
0.000 3.401 0.000
-0.863 0.000 6.719
Na Mg Bi O
3 1 1 4
direct
0.000 0.000 0.000 Na
0.140 0.500 0.476 Na
0.692 0.500 0.687 Na
0.348 0.000 0.790 Mg
0.569 0.000 0.234 Bi
0.190 0.500 0.848 O
0.383 0.000 0.502 O
0.650 0.000 0.917 O
0.784 0.500 0.340 O
```


The following is a calculated XRD peak list of AlCo3. It was derived from the GGA-PBE geometry in the Materials Project, using copper Kα.
Intensities are scaled so that the largest is 100.

The 7 most intense peaks (2θ from 10° to 80°), sorted by position:
| 2theta | intensity |
| --- | --- |
| 24.91 | 9.5 |
| 35.51 | 7.6 |
| 43.86 | 100.0 |
| 51.10 | 46.5 |
| 57.66 | 3.2 |
| 63.77 | 2.3 |
| 75.17 | 26.9 |

Cell and atoms:
```
AlCo3
1.0
3.575 0.000 0.000
0.000 3.575 0.000
0.000 0.000 3.575
Al Co
1 3
direct
0.000 0.000 0.000 Al
0.000 0.500 0.500 Co
0.500 0.000 0.500 Co
0.500 0.500 0.000 Co
```


The following is a calculated XRD peak list of Ho6Mn23. It was derived from the GGA-PBE geometry in the Materials Project, using copper Kα.
Intensities are scaled so that the largest is 100.

The 10 most intense peaks (2θ from 10° to 80°), sorted by position:
| 2theta | intensity |
| --- | --- |
| 25.65 | 30.7 |
| 29.71 | 21.8 |
| 32.44 | 31.1 |
| 36.60 | 35.4 |
| 38.90 | 100.0 |
| 42.51 | 93.0 |
| 45.23 | 18.8 |
| 54.47 | 19.5 |
| 63.28 | 23.5 |
| 65.88 | 28.3 |

Cell and atoms:
```
Ho6Mn23
1.0
0.000 6.015 6.015
6.015 0.000 6.015
6.015 6.015 0.000
Ho Mn
6 23
direct
0.204 0.204 0.796 Ho
0.204 0.796 0.204 Ho
0.204 0.796 0.796 Ho
0.796 0.204 0.204 Ho
0.796 0.204 0.796 Ho
0.796 0.796 0.204 Ho
0.000 0.000 0.500 Mn
0.000 0.500 0.000 Mn
0.000 0.500 0.500 Mn
0.135 0.622 0.622 Mn
0.177 0.177 0.177 Mn
0.177 0.177 0.469 Mn
0.177 0.469 0.177 Mn
0.378 0.378 0.378 Mn
0.378 0.378 0.865 Mn
0.378 0.865 0.378 Mn
0.469 0.177 0.177 Mn
0.500 0.000 0.000 Mn
0.500 0.000 0.500 Mn
0.500 0.500 0.000 Mn
0.500 0.500 0.500 Mn
0.531 0.823 0.823 Mn
0.622 0.135 0.622 Mn
0.622 0.622 0.135 Mn
0.622 0.622 0.622 Mn
0.823 0.531 0.823 Mn
0.823 0.823 0.531 Mn
0.823 0.823 0.823 Mn
0.865 0.378 0.378 Mn
```


The following is a calculated XRD peak list of ReH8Br6N2. It was derived from the GGA-PBE geometry in the Materials Project, using copper Kα.
Intensities are scaled so that the largest is 100.

The 10 most intense peaks (2θ from 10° to 80°), sorted by position:
| 2theta | intensity |
| --- | --- |
| 14.68 | 86.5 |
| 16.96 | 100.0 |
| 28.31 | 38.3 |
| 29.60 | 43.9 |
| 34.31 | 92.6 |
| 38.51 | 55.2 |
| 45.06 | 22.9 |
| 49.31 | 63.5 |
| 51.73 | 21.6 |
| 52.52 | 28.9 |

Cell and atoms:
```
ReH8Br6N2
1.0
0.000 5.227 5.227
5.227 0.000 5.227
5.227 5.227 0.000
Re H Br N
1 8 6 2
direct
0.000 0.000 0.000 Re
0.079 0.307 0.307 H
0.307 0.079 0.307 H
0.307 0.307 0.079 H
0.307 0.307 0.307 H
0.693 0.693 0.693 H
0.693 0.693 0.921 H
0.693 0.921 0.693 H
0.921 0.693 0.693 H
0.241 0.241 0.759 Br
0.241 0.759 0.241 Br
0.241 0.759 0.759 Br
0.759 0.241 0.241 Br
0.759 0.241 0.759 Br
0.759 0.759 0.241 Br
0.250 0.250 0.250 N
0.750 0.750 0.750 N
```